InC6N9: computed powder diffraction line list (Cu Kα X-rays), based on a DFT-relaxed cell (GGA-PBE, the Materials Project).

Structural model:
```
data_InC6N9
_space_group_name_H-M_alt 'C m c m'
_space_group_IT_number 63
_space_group_name_Hall '-C 2c 2'
_cell_length_a 7.3719
_cell_length_b 12.7359
_cell_length_c 11.3280
_cell_angle_alpha 90.00
_cell_angle_beta 90.00
_cell_angle_gamma 90.00
loop_
_atom_site_label
_atom_site_fract_x
_atom_site_fract_y
_atom_site_fract_z
In1 0.0000 0.2189 0.2500
C1 0.1551 0.1118 0.7500
C2 0.1553 0.3561 0.5823
N1 0.0000 0.0654 0.7500
N2 0.0000 0.3653 0.5316
N3 0.1961 0.1510 0.1200
N4 0.1969 0.3531 0.2500
```

Most intense lines, 2θ = 15–90°, in order of rising 2θ:
| two_theta | I_rel |
| --- | --- |
| 15.6 | 38 |
| 15.9 | 100 |
| 21.0 | 40 |
| 25.5 | 44 |
| 27.5 | 56 |
| 28.9 | 24 |
| 29.1 | 18 |
| 32.2 | 19 |
| 38.2 | 18 |
| 44.6 | 18 |

---

InSiCN: computed powder diffraction line list (Cu Kα X-rays), based on a DFT-relaxed cell (GGA-PBE, the Materials Project).

Structural model:
```
data_InSiCN
_space_group_name_H-M_alt 'P m n 21'
_space_group_IT_number 31
_cell_length_a 3.2640
_cell_length_b 5.8475
_cell_length_c 5.3500
_cell_angle_alpha 90.00
_cell_angle_beta 90.00
_cell_angle_gamma 90.00
loop_
_space_group_symop_operation_xyz
'x,y,z'
'-x+1/2,-y,z+1/2'
'-x,y,z'
'x+1/2,-y,z+1/2'
loop_
_atom_site_label
_atom_site_fract_x
_atom_site_fract_y
_atom_site_fract_z
In1 0.0000 0.1048 0.0000
Si1 0.0000 0.4166 0.4900
C1 0.0000 0.4578 0.8472
N1 0.0000 0.1219 0.4098
```

Most intense lines, 2θ = 15–90°, in order of rising 2θ:
| two_theta | I_rel |
| --- | --- |
| 15.2 | 77 |
| 22.5 | 37 |
| 31.4 | 64 |
| 32.1 | 42 |
| 33.5 | 62 |
| 35.0 | 75 |
| 35.7 | 100 |
| 46.6 | 38 |
| 54.9 | 29 |
| 61.3 | 29 |

---

Na2InPCO7: computed powder diffraction line list (Cu Kα X-rays), based on a DFT-relaxed cell (GGA-PBE, the Materials Project).

Structural model:
```
data_Na2InPCO7
_space_group_name_H-M_alt 'P 1 21/m 1'
_space_group_IT_number 11
_cell_length_a 5.2740
_cell_length_b 6.8278
_cell_length_c 9.1395
_cell_angle_alpha 90.00
_cell_angle_beta 90.43
_cell_angle_gamma 90.00
loop_
_space_group_symop_operation_xyz
'x,y,z'
'-x,-y,-z'
'-x,y+1/2,-z'
'x,-y+1/2,z'
loop_
_atom_site_label
_atom_site_fract_x
_atom_site_fract_y
_atom_site_fract_z
Na1 0.2325 0.0023 0.2209
In1 0.2265 0.2500 0.6404
P1 0.2875 0.7500 0.5786
C1 0.2690 0.2500 0.9303
O1 0.0466 0.2500 0.8644
O2 0.1790 0.7500 0.4187
O3 0.1982 0.5671 0.6631
O4 0.2973 0.2500 0.0667
O5 0.4140 0.2500 0.4323
O6 0.4668 0.2500 0.8398
```

Most intense lines, 2θ = 15–90°, in order of rising 2θ:
| two_theta | I_rel |
| --- | --- |
| 16.2 | 100 |
| 19.4 | 35 |
| 21.3 | 69 |
| 25.7 | 40 |
| 25.9 | 70 |
| 26.1 | 63 |
| 32.7 | 86 |
| 34.0 | 45 |
| 36.4 | 31 |
| 43.3 | 27 |

---

Nd3InC: computed powder diffraction line list (Cu Kα X-rays), based on a DFT-relaxed cell (GGA-PBE, the Materials Project).

Structural model:
```
data_Nd3InC
_space_group_name_H-M_alt 'P m -3 m'
_space_group_IT_number 221
_space_group_name_Hall '-P 4 2 3'
_cell_length_a 5.1345
_cell_length_b 5.1345
_cell_length_c 5.1345
_cell_angle_alpha 90.00
_cell_angle_beta 90.00
_cell_angle_gamma 90.00
loop_
_atom_site_label
_atom_site_fract_x
_atom_site_fract_y
_atom_site_fract_z
Nd1 0.0000 0.0000 0.5000
In1 0.5000 0.5000 0.5000
C1 0.0000 0.0000 0.0000
```

Most intense lines, 2θ = 15–90°, in order of rising 2θ:
| two_theta | I_rel |
| --- | --- |
| 17.3 | 2 |
| 30.1 | 100 |
| 35.0 | 55 |
| 39.2 | 1 |
| 50.3 | 39 |
| 59.7 | 43 |
| 62.7 | 13 |
| 73.8 | 6 |
| 81.8 | 18 |
| 84.4 | 17 |

---

InPt3C: computed powder diffraction line list (Cu Kα X-rays), based on a DFT-relaxed cell (GGA-PBE, the Materials Project).

Structural model:
```
data_InPt3C
_space_group_name_H-M_alt 'P m -3 m'
_space_group_IT_number 221
_space_group_name_Hall '-P 4 2 3'
_cell_length_a 4.2586
_cell_length_b 4.2586
_cell_length_c 4.2586
_cell_angle_alpha 90.00
_cell_angle_beta 90.00
_cell_angle_gamma 90.00
loop_
_atom_site_label
_atom_site_fract_x
_atom_site_fract_y
_atom_site_fract_z
In1 0.0000 0.0000 0.0000
Pt1 0.0000 0.5000 0.5000
C1 0.5000 0.5000 0.5000
```

Most intense lines, 2θ = 15–90°, in order of rising 2θ:
| two_theta | I_rel |
| --- | --- |
| 20.9 | 5 |
| 29.7 | 2 |
| 36.5 | 100 |
| 42.5 | 53 |
| 47.8 | 2 |
| 52.6 | 1 |
| 61.6 | 35 |
| 65.8 | 1 |
| 73.8 | 40 |
| 77.7 | 12 |

---

Sc3InC: computed powder diffraction line list (Cu Kα X-rays), based on a DFT-relaxed cell (GGA-PBE, the Materials Project).

Structural model:
```
data_Sc3InC
_space_group_name_H-M_alt 'P m -3 m'
_space_group_IT_number 221
_space_group_name_Hall '-P 4 2 3'
_cell_length_a 4.5581
_cell_length_b 4.5581
_cell_length_c 4.5581
_cell_angle_alpha 90.00
_cell_angle_beta 90.00
_cell_angle_gamma 90.00
loop_
_atom_site_label
_atom_site_fract_x
_atom_site_fract_y
_atom_site_fract_z
Sc1 0.0000 0.0000 0.5000
In1 0.5000 0.5000 0.5000
C1 0.0000 0.0000 0.0000
```

Most intense lines, 2θ = 15–90°, in order of rising 2θ:
| two_theta | I_rel |
| --- | --- |
| 19.5 | 17 |
| 27.7 | 31 |
| 34.1 | 100 |
| 39.5 | 58 |
| 44.4 | 10 |
| 48.9 | 12 |
| 57.2 | 36 |
| 68.2 | 36 |
| 71.7 | 12 |
| 78.5 | 6 |

---

Sm3InC: computed powder diffraction line list (Cu Kα X-rays), based on a DFT-relaxed cell (GGA-PBE, the Materials Project).

Structural model:
```
data_Sm3InC
_space_group_name_H-M_alt 'P m -3 m'
_space_group_IT_number 221
_space_group_name_Hall '-P 4 2 3'
_cell_length_a 5.7107
_cell_length_b 5.7107
_cell_length_c 5.7107
_cell_angle_alpha 90.00
_cell_angle_beta 90.00
_cell_angle_gamma 90.00
loop_
_atom_site_label
_atom_site_fract_x
_atom_site_fract_y
_atom_site_fract_z
Sm1 0.0000 0.0000 0.5000
In1 0.0000 0.0000 0.0000
C1 0.5000 0.5000 0.5000
```

Most intense lines, 2θ = 15–90°, in order of rising 2θ:
| two_theta | I_rel |
| --- | --- |
| 15.5 | 100 |
| 27.0 | 65 |
| 31.3 | 95 |
| 35.1 | 55 |
| 44.9 | 70 |
| 47.8 | 29 |
| 53.2 | 30 |
| 55.8 | 24 |
| 74.3 | 31 |
| 82.8 | 23 |

---

Tb3InC: computed powder diffraction line list (Cu Kα X-rays), based on a DFT-relaxed cell (GGA-PBE, the Materials Project).

Structural model:
```
data_Tb3InC
_space_group_name_H-M_alt 'P m -3 m'
_space_group_IT_number 221
_space_group_name_Hall '-P 4 2 3'
_cell_length_a 5.6094
_cell_length_b 5.6094
_cell_length_c 5.6094
_cell_angle_alpha 90.00
_cell_angle_beta 90.00
_cell_angle_gamma 90.00
loop_
_atom_site_label
_atom_site_fract_x
_atom_site_fract_y
_atom_site_fract_z
Tb1 0.0000 0.0000 0.5000
In1 0.0000 0.0000 0.0000
C1 0.5000 0.5000 0.5000
```

Most intense lines, 2θ = 15–90°, in order of rising 2θ:
| two_theta | I_rel |
| --- | --- |
| 15.8 | 100 |
| 27.5 | 70 |
| 31.9 | 96 |
| 35.8 | 55 |
| 45.7 | 71 |
| 48.7 | 29 |
| 54.2 | 32 |
| 56.9 | 25 |
| 75.8 | 31 |
| 84.6 | 24 |

---

Please write out number 1 again, unchanged.
InC6N9: computed powder diffraction line list (Cu Kα X-rays), based on a DFT-relaxed cell (GGA-PBE, the Materials Project).

Structural model:
```
data_InC6N9
_space_group_name_H-M_alt 'C m c m'
_space_group_IT_number 63
_space_group_name_Hall '-C 2c 2'
_cell_length_a 7.3719
_cell_length_b 12.7359
_cell_length_c 11.3280
_cell_angle_alpha 90.00
_cell_angle_beta 90.00
_cell_angle_gamma 90.00
loop_
_atom_site_label
_atom_site_fract_x
_atom_site_fract_y
_atom_site_fract_z
In1 0.0000 0.2189 0.2500
C1 0.1551 0.1118 0.7500
C2 0.1553 0.3561 0.5823
N1 0.0000 0.0654 0.7500
N2 0.0000 0.3653 0.5316
N3 0.1961 0.1510 0.1200
N4 0.1969 0.3531 0.2500
```

Most intense lines, 2θ = 15–90°, in order of rising 2θ:
| two_theta | I_rel |
| --- | --- |
| 15.6 | 38 |
| 15.9 | 100 |
| 21.0 | 40 |
| 25.5 | 44 |
| 27.5 | 56 |
| 28.9 | 24 |
| 29.1 | 18 |
| 32.2 | 19 |
| 38.2 | 18 |
| 44.6 | 18 |